No. 1
Theoretical powder X-ray diffraction pattern
Compound: SrHfO3
Radiation: Cu Kα, 1.54184 Å
Structure: a structure optimized by DFT (GGA-PBE)
Kinematic intensities with the Lorentz-polarization factor, no thermal factor.

Top 6 peaks for 10 to 90 degrees two-theta, sorted by position:
(1 0 1), 2θ 21.6, 4.111 Å, intensity 25.0; (2 0 0), 2θ 30.7, 2.916 Å, intensity 20.1; (1 2 1), 2θ 30.8, 2.905 Å, intensity 100.0; (0 4 0), 2θ 44.1, 2.055 Å, intensity 32.8; (3 2 1), 2θ 54.6, 1.682 Å, intensity 15.9; (1 2 3), 2θ 54.8, 1.676 Å, intensity 26.6

Cell and atoms:
```
SrHfO3
1.0
5.8325 0.0000 0.0000
0.0000 8.2129 0.0000
0.0000 0.0000 5.8006
Sr Hf O
4 4 12
direct
0.0255 0.2500 0.0055
0.4745 0.7500 0.5055
0.5255 0.2500 0.4945
0.9745 0.7500 0.9945
0.0000 0.0000 0.5000
0.0000 0.5000 0.5000
0.5000 0.0000 0.0000
0.5000 0.5000 0.0000
0.0148 0.7500 0.4322
0.2185 0.5356 0.7816
0.2185 0.9644 0.7816
0.2815 0.0356 0.2816
0.2815 0.4644 0.2816
0.4852 0.2500 0.9322
0.5148 0.7500 0.0678
0.7185 0.5356 0.7184
0.7185 0.9644 0.7184
0.7815 0.0356 0.2184
0.7815 0.4644 0.2184
0.9852 0.2500 0.5678
```

No. 2
Theoretical powder X-ray diffraction pattern
Compound: BaTb2SmO6
Radiation: Cu Kα, 1.54184 Å
Structure: a structure optimized by DFT (GGA-PBE)
Kinematic intensities with the Lorentz-polarization factor, no thermal factor.

Top 6 peaks for 10 to 90 degrees two-theta, sorted by position:
(2 0 2), 2θ 28.9, 3.087 Å, intensity 100.0; (2 2 0), 2θ 29.2, 3.061 Å, intensity 45.1; (4 0 0), 2θ 41.7, 2.164 Å, intensity 24.2; (2 2 4), 2θ 51.1, 1.787 Å, intensity 23.2; (4 2 2), 2θ 51.6, 1.772 Å, intensity 44.0; (4 0 4), 2θ 59.9, 1.543 Å, intensity 14.2

Cell and atoms:
```
BaTb2SmO6
1.0
8.6573 0.0000 0.0000
0.0000 8.6573 0.0000
0.0000 0.0000 8.8069
Ba Tb Sm O
4 8 4 24
direct
0.0000 0.0000 0.0000
0.0000 0.0000 0.5000
0.0000 0.5000 0.0000
0.5000 0.0000 0.5000
0.2552 0.2552 0.2500
0.2552 0.2552 0.7500
0.2552 0.7448 0.2500
0.2552 0.7448 0.7500
0.7448 0.2552 0.2500
0.7448 0.2552 0.7500
0.7448 0.7448 0.2500
0.7448 0.7448 0.7500
0.0000 0.5000 0.5000
0.5000 0.0000 0.0000
0.5000 0.5000 0.0000
0.5000 0.5000 0.5000
0.0000 0.2619 0.2119
0.0000 0.2619 0.7881
0.0000 0.7381 0.2119
0.0000 0.7381 0.7881
0.2008 0.3234 0.5000
0.2008 0.6766 0.5000
0.2619 0.0000 0.2881
0.2619 0.0000 0.7119
0.2893 0.5000 0.1684
0.2893 0.5000 0.8316
0.3234 0.2008 0.0000
0.3234 0.7992 0.0000
0.5000 0.2893 0.3316
0.5000 0.2893 0.6684
0.5000 0.7107 0.3316
0.5000 0.7107 0.6684
0.6766 0.2008 0.0000
0.6766 0.7992 0.0000
0.7107 0.5000 0.1684
0.7107 0.5000 0.8316
0.7381 0.0000 0.2881
0.7381 0.0000 0.7119
0.7992 0.3234 0.5000
0.7992 0.6766 0.5000
```

No. 3
Theoretical powder X-ray diffraction pattern
Compound: W3N4
Radiation: Cu Kα, 1.54184 Å
Structure: a structure optimized by DFT (GGA-PBE)
Kinematic intensities with the Lorentz-polarization factor, no thermal factor.

Top 6 peaks for 10 to 90 degrees two-theta, sorted by position:
(1 0 0), 2θ 21.0, 4.227 Å, intensity 42.2; (1 1 0), 2θ 29.9, 2.989 Å, intensity 35.5; (1 1 1), 2θ 36.8, 2.441 Å, intensity 100.0; (2 0 0), 2θ 42.8, 2.114 Å, intensity 72.7; (2 2 0), 2θ 62.1, 1.495 Å, intensity 47.3; (3 1 1), 2θ 74.4, 1.275 Å, intensity 42.1

Cell and atoms:
```
W3N4
1.0
4.2273 0.0000 0.0000
0.0000 4.2273 0.0000
0.0000 0.0000 4.2273
W N
3 4
direct
0.0000 0.0000 0.5000
0.0000 0.5000 0.0000
0.5000 0.0000 0.0000
0.0000 0.0000 0.0000
0.0000 0.5000 0.5000
0.5000 0.0000 0.5000
0.5000 0.5000 0.0000
```

No. 4
Theoretical powder X-ray diffraction pattern
Compound: CdGeP2
Radiation: Cu Kα, 1.54184 Å
Structure: a structure optimized by DFT (GGA-PBE)
Kinematic intensities with the Lorentz-polarization factor, no thermal factor.

Top 6 peaks for 10 to 90 degrees two-theta, sorted by position:
(1 1 2), 2θ 27.1, 3.289 Å, intensity 100.0; (2 0 0), 2θ 30.8, 2.905 Å, intensity 15.3; (2 2 0), 2θ 44.1, 2.054 Å, intensity 20.4; (2 0 4), 2θ 45.5, 1.995 Å, intensity 36.6; (3 1 2), 2θ 52.5, 1.742 Å, intensity 30.1; (1 1 6), 2θ 55.0, 1.671 Å, intensity 13.2

Cell and atoms:
```
CdGeP2
1.0
5.8109 0.0000 0.0000
0.0000 5.8109 0.0000
0.0000 0.0000 10.9720
Cd Ge P
4 4 8
direct
0.0000 0.0000 0.0000
0.0000 0.5000 0.2500
0.5000 0.0000 0.7500
0.5000 0.5000 0.5000
0.0000 0.0000 0.5000
0.0000 0.5000 0.7500
0.5000 0.0000 0.2500
0.5000 0.5000 0.0000
0.2174 0.7500 0.6250
0.2500 0.2174 0.3750
0.2500 0.2826 0.8750
0.2826 0.7500 0.1250
0.7174 0.2500 0.1250
0.7500 0.7174 0.8750
0.7500 0.7826 0.3750
0.7826 0.2500 0.6250
```

No. 5
Theoretical powder X-ray diffraction pattern
Compound: KNaSmTaO5
Radiation: Cu Kα, 1.54184 Å
Structure: a structure optimized by DFT (GGA-PBE)
Kinematic intensities with the Lorentz-polarization factor, no thermal factor.

Top 6 peaks for 10 to 90 degrees two-theta, sorted by position:
(0 0 1), 2θ 10.6, 8.321 Å, intensity 36.7; (1 0 1), 2θ 18.8, 4.730 Å, intensity 63.2; (1 1 2), 2θ 30.8, 2.908 Å, intensity 100.0; (2 0 0), 2θ 31.1, 2.875 Å, intensity 40.3; (2 2 0), 2θ 44.6, 2.033 Å, intensity 27.4; (3 1 2), 2θ 55.1, 1.666 Å, intensity 39.2

Cell and atoms:
```
KNaSmTaO5
1.0
5.7491 0.0000 0.0000
0.0000 5.7491 0.0000
0.0000 0.0000 8.3209
K Na Sm Ta O
2 2 2 2 10
direct
0.2500 0.7500 0.0000
0.7500 0.2500 0.0000
0.2500 0.2500 0.2409
0.7500 0.7500 0.7591
0.2500 0.7500 0.5000
0.7500 0.2500 0.5000
0.2500 0.2500 0.7404
0.7500 0.7500 0.2596
0.0189 0.0189 0.6689
0.0189 0.4811 0.6689
0.2500 0.2500 0.9647
0.4811 0.0189 0.6689
0.4811 0.4811 0.6689
0.5189 0.5189 0.3311
0.5189 0.9811 0.3311
0.7500 0.7500 0.0353
0.9811 0.5189 0.3311
0.9811 0.9811 0.3311
```